1.
Starting from a DFT-relaxed cell (PBE, Alexandria), the PXRD pattern of Li5Ca2Cu5 was calculated for Cu Kα, 1.54184 Å.
Peak positions follow from Bragg's law for the DFT cell and can differ from measured ones.

Structural model:
a b c (Å): 4.3181 5.4521 8.9344
angles (deg): 90.00 90.00 90.00
Fractional coordinates of all 12 atoms:
1 Li 0.0000 0.0000 0.0000
2 Li 0.0000 0.2554 0.2585
3 Li 0.0000 0.2554 0.7415
4 Li 0.0000 0.7446 0.2585
5 Li 0.0000 0.7446 0.7415
6 Ca 0.5000 0.0000 0.5000
7 Ca 0.5000 0.5000 0.0000
8 Cu 0.0000 0.5000 0.5000
9 Cu 0.5000 0.0000 0.1556
10 Cu 0.5000 0.0000 0.8444
11 Cu 0.5000 0.5000 0.3537
12 Cu 0.5000 0.5000 0.6463

Peak list (12 most intense, 15 to 90 degrees two-theta, by intensity)
- 40.3 deg, d 2.236, I 100
- 20.6 deg, d 4.318, I 57
- 32.9 deg, d 2.726, I 43
- 19.1 deg, d 4.654, I 42
- 34.3 deg, d 2.613, I 35
- 39.1 deg, d 2.305, I 28
- 41.8 deg, d 2.159, I 26
- 63.7 deg, d 1.460, I 23
- 75.4 deg, d 1.261, I 19
- 54.2 deg, d 1.693, I 19
- 55.2 deg, d 1.664, I 16
- 45.7 deg, d 1.984, I 10

***

2.
Starting from a DFT-relaxed cell (PBE, Alexandria), the PXRD pattern of LiCa8Cu2 was calculated for Cu Kα, 1.54184 Å.
Peak positions follow from Bragg's law for the DFT cell and can differ from measured ones.

Structural model:
a b c (Å): 8.3386 8.3386 5.9009
angles (deg): 97.93 97.93 111.67
Fractional coordinates of all 11 atoms:
1 Li 0.0000 0.0000 0.0000
2 Ca 0.0673 0.3313 0.5874
3 Ca 0.2461 0.7539 0.0000
4 Ca 0.3313 0.0673 0.5874
5 Ca 0.3843 0.3843 0.1998
6 Ca 0.6157 0.6157 0.8002
7 Ca 0.6687 0.9327 0.4126
8 Ca 0.7539 0.2461 0.0000
9 Ca 0.9327 0.6687 0.4126
10 Cu 0.3134 0.6866 0.5000
11 Cu 0.6866 0.3134 0.5000

Peak list (12 most intense, 15 to 90 degrees two-theta, by intensity)
- 30.3 deg, d 2.954, I 100
- 33.9 deg, d 2.641, I 99
- 15.5 deg, d 5.720, I 91
- 28.1 deg, d 3.171, I 86
- 30.5 deg, d 2.928, I 84
- 32.6 deg, d 2.746, I 77
- 35.5 deg, d 2.528, I 68
- 41.9 deg, d 2.155, I 63
- 23.5 deg, d 3.792, I 60
- 35.2 deg, d 2.549, I 48
- 36.4 deg, d 2.465, I 46
- 35.8 deg, d 2.511, I 37